# 1
# Na3Sr2SmPb3
Computed X-ray powder pattern, Cu Kα. Input: a structure optimized by DFT (GGA-PBE).
Intensities are scaled so that the largest is 100.

Cell and atoms:
```
data_Na3Sr2SmPb3
_chemical_formula_sum 'Na3 Sr2 Sm1 Pb3'
_symmetry_space_group_name_H-M 'P 1'
_symmetry_Int_Tables_number 1
_symmetry_space_group_name_Hall 'P 1'
_cell_length_a 5.2956
_cell_length_b 5.2956
_cell_length_c 11.7294
_cell_angle_alpha 90.00
_cell_angle_beta 90.00
_cell_angle_gamma 120.00
loop_
_atom_site_label
_atom_site_fract_x
_atom_site_fract_y
_atom_site_fract_z
Na1 0.0000 0.0000 0.0000
Na2 0.3333 0.6667 0.3168
Na3 0.3333 0.6667 0.6832
Sr1 0.6667 0.3333 0.1649
Sr2 0.6667 0.3333 0.8351
Sm1 0.6667 0.3333 0.5000
Pb1 0.0000 0.0000 0.3633
Pb2 0.0000 0.0000 0.6367
Pb3 0.3333 0.6667 0.0000
```

Peak list (6 most intense, 2θ = 5–70°, in order of falling intensity)
Position (°2θ)  I (rel.)
30.03  100
33.85  90
20.80  79
36.37  38
45.88  31
58.69  31

***

# 2
# NaPb5W3
Computed X-ray powder pattern, Cu Kα. Input: a structure optimized by DFT (GGA-PBE).
Intensities are scaled so that the largest is 100.

Cell and atoms:
```
data_NaPb5W3
_chemical_formula_sum 'Na1 Pb5 W3'
_symmetry_space_group_name_H-M 'P 1'
_symmetry_Int_Tables_number 1
_symmetry_space_group_name_Hall 'P 1'
_cell_length_a 5.6216
_cell_length_b 5.6216
_cell_length_c 9.1061
_cell_angle_alpha 90.00
_cell_angle_beta 90.00
_cell_angle_gamma 120.00
loop_
_atom_site_label
_atom_site_fract_x
_atom_site_fract_y
_atom_site_fract_z
Na1 0.0000 0.0000 0.0000
Pb1 0.0000 0.0000 0.5000
Pb2 0.3333 0.6667 0.2166
Pb3 0.3333 0.6667 0.7834
Pb4 0.6667 0.3333 0.2166
Pb5 0.6667 0.3333 0.7834
W1 0.0000 0.5000 0.5000
W2 0.5000 0.0000 0.5000
W3 0.5000 0.5000 0.5000
```

Peak list (6 most intense, 2θ = 5–70°, in order of falling intensity)
Position (°2θ)  I (rel.)
9.71  100
42.09  80
38.27  52
31.84  49
37.61  41
29.43  38

***

# 3
# Na15Pd
Computed X-ray powder pattern, Cu Kα. Input: a structure optimized by DFT (GGA-PBE).
Intensities are scaled so that the largest is 100.

Cell and atoms:
```
data_Na15Pd
_chemical_formula_sum 'Na15 Pd1'
_symmetry_space_group_name_H-M 'P 1'
_symmetry_Int_Tables_number 1
_symmetry_space_group_name_Hall 'P 1'
_cell_length_a 7.5906
_cell_length_b 7.5906
_cell_length_c 7.5906
_cell_angle_alpha 90.00
_cell_angle_beta 90.00
_cell_angle_gamma 90.00
loop_
_atom_site_label
_atom_site_fract_x
_atom_site_fract_y
_atom_site_fract_z
Na1 0.0000 0.0000 0.0000
Na2 0.0000 0.0000 0.5000
Na3 0.0000 0.5000 0.0000
Na4 0.0000 0.5000 0.5000
Na5 0.2686 0.2686 0.2686
Na6 0.2686 0.2686 0.7314
Na7 0.2686 0.7314 0.2686
Na8 0.2686 0.7314 0.7314
Na9 0.5000 0.0000 0.0000
Na10 0.5000 0.0000 0.5000
Na11 0.5000 0.5000 0.0000
Na12 0.7314 0.2686 0.2686
Na13 0.7314 0.2686 0.7314
Na14 0.7314 0.7314 0.2686
Na15 0.7314 0.7314 0.7314
Pd1 0.5000 0.5000 0.5000
```

Peak list (6 most intense, 2θ = 5–70°, in order of falling intensity)
Position (°2θ)  I (rel.)
33.39  100
11.66  33
59.68  31
16.52  20
47.94  16
42.96  10

***

# 4
# Na4Si2PdPt
Computed X-ray powder pattern, Cu Kα. Input: a structure optimized by DFT (GGA-PBE).
Intensities are scaled so that the largest is 100.

Cell and atoms:
```
data_Na4Si2PdPt
_chemical_formula_sum 'Na4 Si2 Pd1 Pt1'
_symmetry_space_group_name_H-M 'P 1'
_symmetry_Int_Tables_number 1
_symmetry_space_group_name_Hall 'P 1'
_cell_length_a 4.5758
_cell_length_b 4.5758
_cell_length_c 6.4544
_cell_angle_alpha 90.00
_cell_angle_beta 90.00
_cell_angle_gamma 90.00
loop_
_atom_site_label
_atom_site_fract_x
_atom_site_fract_y
_atom_site_fract_z
Na1 0.0000 0.0000 0.0000
Na2 0.0000 0.5000 0.7447
Na3 0.5000 0.0000 0.2553
Na4 0.5000 0.5000 0.5000
Si1 0.0000 0.5000 0.2394
Si2 0.5000 0.0000 0.7606
Pd1 0.0000 0.0000 0.5000
Pt1 0.5000 0.5000 0.0000
```

Peak list (6 most intense, 2θ = 5–70°, in order of falling intensity)
Position (°2θ)  I (rel.)
39.42  100
23.84  75
46.59  38
27.59  36
62.63  16
56.92  11

***

# 5
# Na2Tl4PdPt
Computed X-ray powder pattern, Cu Kα. Input: a structure optimized by DFT (GGA-PBE).
Intensities are scaled so that the largest is 100.

Cell and atoms:
```
data_Na2Tl4PdPt
_chemical_formula_sum 'Na2 Tl4 Pd1 Pt1'
_symmetry_space_group_name_H-M 'P 1'
_symmetry_Int_Tables_number 1
_symmetry_space_group_name_Hall 'P 1'
_cell_length_a 4.3197
_cell_length_b 8.2301
_cell_length_c 5.9199
_cell_angle_alpha 90.00
_cell_angle_beta 111.21
_cell_angle_gamma 90.00
loop_
_atom_site_label
_atom_site_fract_x
_atom_site_fract_y
_atom_site_fract_z
Na1 0.0000 0.0000 0.0000
Na2 0.1344 0.5000 0.2654
Tl1 0.4262 0.2959 0.8532
Tl2 0.4262 0.7041 0.8532
Tl3 0.7084 0.2046 0.4126
Tl4 0.7084 0.7954 0.4126
Pd1 0.8502 0.5000 0.6998
Pt1 0.2844 0.0000 0.5659
```

Peak list (6 most intense, 2θ = 5–70°, in order of falling intensity)
Position (°2θ)  I (rel.)
38.89  100
31.09  94
39.77  91
22.10  62
16.06  60
39.31  58

***

# 6
# RbNaPdS3
Computed X-ray powder pattern, Cu Kα. Input: a structure optimized by DFT (GGA-PBE).
Intensities are scaled so that the largest is 100.

Cell and atoms:
```
data_RbNaPdS3
_chemical_formula_sum 'Rb2 Na2 Pd2 S6'
_symmetry_space_group_name_H-M 'P 1'
_symmetry_Int_Tables_number 1
_symmetry_space_group_name_Hall 'P 1'
_cell_length_a 7.7406
_cell_length_b 7.7406
_cell_length_c 10.1717
_cell_angle_alpha 90.00
_cell_angle_beta 90.00
_cell_angle_gamma 151.67
loop_
_atom_site_label
_atom_site_fract_x
_atom_site_fract_y
_atom_site_fract_z
Rb1 0.2361 0.7639 0.7500
Rb2 0.7639 0.2361 0.2500
Na1 0.0532 0.9468 0.2500
Na2 0.9468 0.0532 0.7500
Pd1 0.5000 0.5000 0.0000
Pd2 0.5000 0.5000 0.5000
S1 0.1037 0.8963 0.0077
S2 0.1037 0.8963 0.4923
S3 0.4388 0.5612 0.2500
S4 0.5612 0.4388 0.7500
S5 0.8963 0.1037 0.5077
S6 0.8963 0.1037 0.9923
```

Peak list (6 most intense, 2θ = 5–70°, in order of falling intensity)
Position (°2θ)  I (rel.)
21.10  100
11.79  53
42.32  53
30.88  52
35.30  48
29.57  40

***

# 7
# NaSi5Pd3
Computed X-ray powder pattern, Cu Kα. Input: a structure optimized by DFT (GGA-PBE).
Intensities are scaled so that the largest is 100.

Cell and atoms:
```
data_NaSi5Pd3
_chemical_formula_sum 'Na1 Si5 Pd3'
_symmetry_space_group_name_H-M 'P 1'
_symmetry_Int_Tables_number 1
_symmetry_space_group_name_Hall 'P 1'
_cell_length_a 5.5095
_cell_length_b 5.5095
_cell_length_c 6.0989
_cell_angle_alpha 90.00
_cell_angle_beta 90.00
_cell_angle_gamma 120.00
loop_
_atom_site_label
_atom_site_fract_x
_atom_site_fract_y
_atom_site_fract_z
Na1 0.0000 0.0000 0.0000
Si1 0.0000 0.0000 0.5000
Si2 0.3333 0.6667 0.1899
Si3 0.3333 0.6667 0.8101
Si4 0.6667 0.3333 0.1899
Si5 0.6667 0.3333 0.8101
Pd1 0.0000 0.5000 0.5000
Pd2 0.5000 0.0000 0.5000
Pd3 0.5000 0.5000 0.5000
```

Peak list (6 most intense, 2θ = 5–70°, in order of falling intensity)
Position (°2θ)  I (rel.)
14.52  100
40.61  68
48.45  58
37.71  35
18.60  27
29.29  20

***

# 8
# NaTlSiPd
Computed X-ray powder pattern, Cu Kα. Input: a structure optimized by DFT (GGA-PBE).
Intensities are scaled so that the largest is 100.

Cell and atoms:
```
data_NaTlSiPd
_chemical_formula_sum 'Na4 Tl4 Si4 Pd4'
_symmetry_space_group_name_H-M 'P 1'
_symmetry_Int_Tables_number 1
_symmetry_space_group_name_Hall 'P 1'
_cell_length_a 6.7061
_cell_length_b 6.7061
_cell_length_c 6.7061
_cell_angle_alpha 90.00
_cell_angle_beta 90.00
_cell_angle_gamma 90.00
loop_
_atom_site_label
_atom_site_fract_x
_atom_site_fract_y
_atom_site_fract_z
Na1 0.0000 0.0000 0.0000
Na2 0.0000 0.5000 0.5000
Na3 0.5000 0.0000 0.5000
Na4 0.5000 0.5000 0.0000
Tl1 0.2500 0.2500 0.2500
Tl2 0.2500 0.7500 0.7500
Tl3 0.7500 0.2500 0.7500
Tl4 0.7500 0.7500 0.2500
Si1 0.2500 0.2500 0.7500
Si2 0.2500 0.7500 0.2500
Si3 0.7500 0.2500 0.2500
Si4 0.7500 0.7500 0.7500
Pd1 0.0000 0.0000 0.5000
Pd2 0.0000 0.5000 0.0000
Pd3 0.5000 0.0000 0.0000
Pd4 0.5000 0.5000 0.5000
```

Peak list (6 most intense, 2θ = 5–70°, in order of falling intensity)
Position (°2θ)  I (rel.)
37.95  100
22.97  66
44.83  35
68.55  35
54.75  17
60.14  15

***

# 9
# NaSn6Pd2
Computed X-ray powder pattern, Cu Kα. Input: a structure optimized by DFT (GGA-PBE).
Intensities are scaled so that the largest is 100.

Cell and atoms:
```
data_NaSn6Pd2
_chemical_formula_sum 'Na2 Sn12 Pd4'
_symmetry_space_group_name_H-M 'P 1'
_symmetry_Int_Tables_number 1
_symmetry_space_group_name_Hall 'P 1'
_cell_length_a 6.7708
_cell_length_b 6.7708
_cell_length_c 9.1003
_cell_angle_alpha 90.00
_cell_angle_beta 90.00
_cell_angle_gamma 90.00
loop_
_atom_site_label
_atom_site_fract_x
_atom_site_fract_y
_atom_site_fract_z
Na1 0.0000 0.0000 0.0000
Na2 0.5000 0.5000 0.0000
Sn1 0.1580 0.3420 0.1941
Sn2 0.1580 0.3420 0.8059
Sn3 0.1615 0.6615 0.5000
Sn4 0.3385 0.1615 0.5000
Sn5 0.3420 0.8420 0.1941
Sn6 0.3420 0.8420 0.8059
Sn7 0.6580 0.1580 0.1941
Sn8 0.6580 0.1580 0.8059
Sn9 0.6615 0.8385 0.5000
Sn10 0.8385 0.3385 0.5000
Sn11 0.8420 0.6580 0.1941
Sn12 0.8420 0.6580 0.8059
Pd1 0.0000 0.0000 0.3347
Pd2 0.0000 0.0000 0.6653
Pd3 0.5000 0.5000 0.3347
Pd4 0.5000 0.5000 0.6653
```

Peak list (6 most intense, 2θ = 5–70°, in order of falling intensity)
Position (°2θ)  I (rel.)
35.62  100
31.13  63
42.20  62
35.02  45
39.90  45
59.23  34

***

# 10
# Na4TlSnPd2
Computed X-ray powder pattern, Cu Kα. Input: a structure optimized by DFT (GGA-PBE).
Intensities are scaled so that the largest is 100.

Cell and atoms:
```
data_Na4TlSnPd2
_chemical_formula_sum 'Na4 Tl1 Sn1 Pd2'
_symmetry_space_group_name_H-M 'P 1'
_symmetry_Int_Tables_number 1
_symmetry_space_group_name_Hall 'P 1'
_cell_length_a 4.8899
_cell_length_b 4.8899
_cell_length_c 6.8631
_cell_angle_alpha 90.00
_cell_angle_beta 90.00
_cell_angle_gamma 90.00
loop_
_atom_site_label
_atom_site_fract_x
_atom_site_fract_y
_atom_site_fract_z
Na1 0.0000 0.0000 0.0000
Na2 0.0000 0.5000 0.2481
Na3 0.5000 0.0000 0.7519
Na4 0.5000 0.5000 0.5000
Tl1 0.5000 0.5000 0.0000
Sn1 0.0000 0.0000 0.5000
Pd1 0.0000 0.5000 0.7278
Pd2 0.5000 0.0000 0.2722
```

Peak list (6 most intense, 2θ = 5–70°, in order of falling intensity)
Position (°2θ)  I (rel.)
36.90  100
22.32  92
36.76  52
66.30  35
43.43  33
52.96  18

***

# 11
# Na2Pr
Computed X-ray powder pattern, Cu Kα. Input: a structure optimized by DFT (GGA-PBE).
Intensities are scaled so that the largest is 100.

Cell and atoms:
```
data_Na2Pr
_chemical_formula_sum 'Na8 Pr4'
_symmetry_space_group_name_H-M 'P 1'
_symmetry_Int_Tables_number 1
_symmetry_space_group_name_Hall 'P 1'
_cell_length_a 6.4780
_cell_length_b 6.4780
_cell_length_c 10.4460
_cell_angle_alpha 90.00
_cell_angle_beta 90.00
_cell_angle_gamma 120.00
loop_
_atom_site_label
_atom_site_fract_x
_atom_site_fract_y
_atom_site_fract_z
Na1 0.0000 0.0000 0.0000
Na2 0.0000 0.0000 0.5000
Na3 0.1707 0.3413 0.2500
Na4 0.1707 0.8293 0.2500
Na5 0.3413 0.1707 0.7500
Na6 0.6587 0.8293 0.2500
Na7 0.8293 0.1707 0.7500
Na8 0.8293 0.6587 0.7500
Pr1 0.3333 0.6667 0.5628
Pr2 0.3333 0.6667 0.9372
Pr3 0.6667 0.3333 0.0628
Pr4 0.6667 0.3333 0.4372
```

Peak list (6 most intense, 2θ = 5–70°, in order of falling intensity)
Position (°2θ)  I (rel.)
30.21  100
27.54  82
32.53  82
50.39  46
15.80  43
33.07  32

***

# 12
# NaPr3Se4
Computed X-ray powder pattern, Cu Kα. Input: a structure optimized by DFT (GGA-PBE).
Intensities are scaled so that the largest is 100.

Cell and atoms:
```
data_NaPr3Se4
_chemical_formula_sum 'Na2 Pr6 Se8'
_symmetry_space_group_name_H-M 'P 1'
_symmetry_Int_Tables_number 1
_symmetry_space_group_name_Hall 'P 1'
_cell_length_a 8.5486
_cell_length_b 12.0350
_cell_length_c 4.2459
_cell_angle_alpha 90.00
_cell_angle_beta 90.00
_cell_angle_gamma 90.00
loop_
_atom_site_label
_atom_site_fract_x
_atom_site_fract_y
_atom_site_fract_z
Na1 0.0000 0.0000 0.0000
Na2 0.5000 0.5000 0.0000
Pr1 0.0000 0.5000 0.0000
Pr2 0.2500 0.2500 0.5000
Pr3 0.2500 0.7500 0.5000
Pr4 0.5000 0.0000 0.0000
Pr5 0.7500 0.2500 0.5000
Pr6 0.7500 0.7500 0.5000
Se1 0.0000 0.2477 0.0000
Se2 0.0000 0.7523 0.0000
Se3 0.2496 0.0000 0.5000
Se4 0.2504 0.5000 0.5000
Se5 0.5000 0.2523 0.0000
Se6 0.5000 0.7477 0.0000
Se7 0.7504 0.0000 0.5000
Se8 0.7496 0.5000 0.5000
```

Peak list (6 most intense, 2θ = 5–70°, in order of falling intensity)
Position (°2θ)  I (rel.)
29.67  100
42.46  50
69.86  22
52.52  13
52.77  13
42.29  13